Diffraction record for La3Ga4Si4. The powder XRD pattern is computed, not measured: it uses DFT lattice parameters and positions (PBE) and Cu Kα.

Largest 6 diffraction maxima, in order of falling intensity, 2θ = 10–80°:
- (0 1 -3), d = 2.733 Å, 2θ 32.77, I = 100.0
- (1 1 2), d = 3.043 Å, 2θ 29.35, I = 93.8
- (-1 1 2), d = 2.790 Å, 2θ 32.08, I = 55.9
- (1 1 3), d = 2.784 Å, 2θ 32.15, I = 55.3
- (0 2 1), d = 2.255 Å, 2θ 39.98, I = 47.0
- (2 0 1), d = 2.195 Å, 2θ 41.13, I = 44.2

Structural model:
Cell: 4.390 4.511 12.414 Å, 79.67 80.02 89.92°
Space group P-1 (No. 2)
Symmetry-distinct sites (fractional):
La 0.000 0.000 0.000 x1
La 0.357 0.849 0.298 x2
Ga 0.205 0.709 0.600 x2
Ga 0.449 0.425 0.102 x2
Si 0.097 0.585 0.804 x2
Si 0.241 0.260 0.500 x2